Starting from a structure optimized by DFT (GGA-PBE), the powder diffraction line list of Sr2YI7 was simulated for CuKα.
Lines closer than 0.1° are merged.

Largest 8 diffraction maxima, sorted by position, 15 to 90 degrees two-theta:
(hkl), 2θ (°), Rel. int.
2 2 -2, 26.0, 66
2 0 2, 26.9, 48
0 2 4, 27.2, 100
2 1 2, 27.6, 39
1 4 1, 27.9, 31
2 3 -1, 28.3, 36
1 4 -2, 28.5, 43
2 3 -2, 29.4, 30

abc: 8.3107 14.6104 14.9118
angles: 90.00 100.62 90.00
Positions (direct):
Sr 0.1212 0.0000 0.2335
Sr 0.2509 0.1683 0.7283
Sr 0.2582 0.7582 0.8448
Sr 0.2712 0.4270 0.3420
Sr 0.7288 0.9270 0.6580
Sr 0.7418 0.2582 0.1552
Sr 0.7491 0.6683 0.2717
Sr 0.8788 0.5000 0.7665
Y 0.3427 0.7055 0.4460
Y 0.3521 0.4764 0.9458
Y 0.6479 0.9764 0.0542
Y 0.6573 0.2055 0.5540
I 0.0512 0.5971 0.9605
I 0.0563 0.5760 0.4528
I 0.0776 0.8470 0.3880
I 0.1036 0.2186 0.3003
I 0.1065 0.9707 0.7988
I 0.1147 0.3203 0.8725
I 0.2924 0.5486 0.7505
I 0.3346 0.6339 0.2491
I 0.3448 0.8836 0.0956
I 0.3800 0.3801 0.1287
I 0.3838 0.7943 0.6335
I 0.3864 0.3259 0.5960
I 0.4257 0.0493 0.5030
I 0.4547 0.1426 0.9884
I 0.5453 0.6426 0.0116
I 0.5743 0.5493 0.4970
I 0.6136 0.8259 0.4040
I 0.6162 0.2943 0.3665
I 0.6200 0.8801 0.8713
I 0.6552 0.3836 0.9044
I 0.6654 0.1339 0.7509
I 0.7076 0.0486 0.2495
I 0.8853 0.8203 0.1275
I 0.8935 0.4707 0.2012
I 0.8964 0.7186 0.6997
I 0.9224 0.3470 0.6120
I 0.9437 0.0760 0.5472
I 0.9488 0.0971 0.0395